No. 1
Calculated X-ray diffraction stick pattern of Pr3AlInNi4 for Cu Kα X-rays, from DFT lattice parameters and positions (PBE).
Kinematic intensities with the Lorentz-polarization factor, no thermal factor.

Most intense lines, 2θ from 10° to 90°, by angle:
2θ = 25.71°, intensity 64, (1 1 1); 2θ = 29.22°, intensity 32, (2 0 2); 2θ = 30.39°, intensity 71, (1 1 -2); 2θ = 33.98°, intensity 100, (3 1 0); 2θ = 34.16°, intensity 42, (2 0 -3); 2θ = 35.48°, intensity 38, (4 0 -1); 2θ = 38.23°, intensity 54, (3 1 -2); 2θ = 38.38°, intensity 48, (4 0 1); 2θ = 40.45°, intensity 64, (1 1 3); 2θ = 43.01°, intensity 61, (0 2 0)

Atomic structure:
```
data_Pr3AlInNi4
_space_group_name_H-M_alt 'C 1 m 1'
_space_group_IT_number 8
_cell_length_a 10.260
_cell_length_b 4.206
_cell_length_c 8.551
_cell_angle_alpha 90.00
_cell_angle_beta 97.80
_cell_angle_gamma 90.00
loop_
_space_group_symop_operation_xyz
'x,y,z'
'x,-y,z'
'x+1/2,y+1/2,z'
'x+1/2,-y+1/2,z'
loop_
_atom_site_label
_atom_site_fract_x
_atom_site_fract_y
_atom_site_fract_z
Pr1 0.000 0.000 0.000
Pr2 0.121 0.500 0.375
Pr3 0.369 0.000 0.615
Al1 0.322 0.000 0.217
In1 0.173 0.500 0.781
Ni1 0.068 0.000 0.610
Ni2 0.241 0.500 0.092
Ni3 0.276 0.000 0.933
Ni4 0.410 0.500 0.356
```

=====

No. 2
Calculated X-ray diffraction stick pattern of Tb2Al3InNi2 for Cu Kα X-rays, from DFT lattice parameters and positions (PBE).
Kinematic intensities with the Lorentz-polarization factor, no thermal factor.

Most intense lines, 2θ from 10° to 90°, by angle:
2θ = 21.42°, intensity 18, (2 0 1); 2θ = 23.26°, intensity 35, (1 1 0); 2θ = 25.43°, intensity 27, (0 0 2); 2θ = 34.74°, intensity 100, (1 1 2); 2θ = 36.39°, intensity 93, (3 1 -1); 2θ = 37.20°, intensity 50, (4 0 1); 2θ = 42.51°, intensity 18, (2 0 3); 2θ = 43.97°, intensity 31, (0 2 0); 2θ = 52.26°, intensity 18, (0 0 4); 2θ = 58.92°, intensity 26, (4 2 1)

Atomic structure:
```
data_Tb2Al3InNi2
_space_group_name_H-M_alt 'C 1 m 1'
_space_group_IT_number 8
_cell_length_a 10.302
_cell_length_b 4.119
_cell_length_c 7.004
_cell_angle_alpha 90.00
_cell_angle_beta 90.11
_cell_angle_gamma 90.00
loop_
_space_group_symop_operation_xyz
'x,y,z'
'x,-y,z'
'x+1/2,y+1/2,z'
'x+1/2,-y+1/2,z'
loop_
_atom_site_label
_atom_site_fract_x
_atom_site_fract_y
_atom_site_fract_z
Tb1 0.000 0.000 0.000
Tb2 0.126 0.000 0.518
Al1 0.216 0.500 0.822
Al2 0.218 0.500 0.208
Al3 0.402 0.000 0.712
In1 0.419 0.000 0.312
Ni1 0.271 0.000 0.007
Ni2 0.339 0.500 0.526
```

=====

No. 3
Calculated X-ray diffraction stick pattern of Tb2AlIn3Ni2 for Cu Kα X-rays, from DFT lattice parameters and positions (PBE).
Kinematic intensities with the Lorentz-polarization factor, no thermal factor.

Most intense lines, 2θ from 10° to 90°, by angle:
2θ = 25.69°, intensity 23, (1 1 1); 2θ = 33.22°, intensity 44, (3 1 0); 2θ = 33.44°, intensity 67, (1 1 -2); 2θ = 33.56°, intensity 100, (1 1 2); 2θ = 35.42°, intensity 81, (3 1 -1); 2θ = 35.60°, intensity 37, (3 1 1); 2θ = 36.73°, intensity 36, (4 0 1); 2θ = 40.94°, intensity 22, (2 0 -3); 2θ = 42.31°, intensity 57, (0 2 0); 2θ = 66.45°, intensity 28, (7 1 0)

Atomic structure:
```
data_Tb2AlIn3Ni2
_space_group_name_H-M_alt 'C 1 m 1'
_space_group_IT_number 8
_cell_length_a 10.431
_cell_length_b 4.272
_cell_length_c 7.265
_cell_angle_alpha 90.00
_cell_angle_beta 90.55
_cell_angle_gamma 90.00
loop_
_space_group_symop_operation_xyz
'x,y,z'
'x,-y,z'
'x+1/2,y+1/2,z'
'x+1/2,-y+1/2,z'
loop_
_atom_site_label
_atom_site_fract_x
_atom_site_fract_y
_atom_site_fract_z
Tb1 0.000 0.000 0.000
Tb2 0.134 0.000 0.518
Al1 0.218 0.500 0.809
In1 0.207 0.500 0.201
In2 0.417 0.000 0.301
In3 0.425 0.000 0.705
Ni1 0.270 0.000 0.988
Ni2 0.340 0.500 0.515
```

=====

No. 4
Calculated X-ray diffraction stick pattern of Al2InPd5 for Cu Kα X-rays, from DFT lattice parameters and positions (PBE).
Kinematic intensities with the Lorentz-polarization factor, no thermal factor.

Most intense lines, 2θ from 10° to 90°, by angle:
2θ = 33.10°, intensity 25, (1 1 2); 2θ = 36.92°, intensity 12, (0 0 6); 2θ = 39.57°, intensity 100, (1 1 4); 2θ = 43.95°, intensity 41, (2 0 0); 2θ = 49.95°, intensity 9, (0 0 8); 2θ = 58.71°, intensity 12, (2 0 6); 2θ = 63.90°, intensity 13, (2 2 0); 2θ = 68.69°, intensity 13, (2 0 8); 2θ = 72.37°, intensity 11, (1 1 10); 2θ = 77.83°, intensity 26, (3 1 4)

Atomic structure:
```
data_Al2InPd5
_space_group_name_H-M_alt 'I 4/m m m'
_space_group_IT_number 139
_space_group_name_Hall '-I 4 2'
_cell_length_a 4.121
_cell_length_b 4.121
_cell_length_c 14.608
_cell_angle_alpha 90.00
_cell_angle_beta 90.00
_cell_angle_gamma 90.00
loop_
_atom_site_label
_atom_site_fract_x
_atom_site_fract_y
_atom_site_fract_z
Al1 0.000 0.000 0.247
In1 0.000 0.000 0.500
Pd1 0.000 0.000 0.000
Pd2 0.000 0.500 0.142
```

=====

No. 5
Calculated X-ray diffraction stick pattern of AlInPd2 for Cu Kα X-rays, from DFT lattice parameters and positions (PBE).
Kinematic intensities with the Lorentz-polarization factor, no thermal factor.

Most intense lines, 2θ from 10° to 90°, by angle:
2θ = 24.72°, intensity 33, (1 1 0); 2θ = 30.70°, intensity 40, (1 1 1); 2θ = 38.91°, intensity 62, (1 0 -2); 2θ = 39.51°, intensity 100, (0 2 1); 2θ = 39.64°, intensity 93, (2 1 0); 2θ = 39.96°, intensity 30, (1 0 2); 2θ = 43.07°, intensity 35, (2 1 -1); 2θ = 43.25°, intensity 39, (1 2 -1); 2θ = 43.89°, intensity 40, (1 1 2); 2θ = 44.04°, intensity 20, (2 1 1)

Atomic structure:
```
data_AlInPd2
_space_group_name_H-M_alt 'P 1 21 1'
_space_group_IT_number 4
_cell_length_a 5.084
_cell_length_b 5.095
_cell_length_c 5.118
_cell_angle_alpha 90.00
_cell_angle_beta 91.82
_cell_angle_gamma 90.00
loop_
_space_group_symop_operation_xyz
'x,y,z'
'-x,y+1/2,-z'
loop_
_atom_site_label
_atom_site_fract_x
_atom_site_fract_y
_atom_site_fract_z
Al1 0.157 0.000 0.412
In1 0.344 0.310 0.908
Pd1 0.133 0.803 0.875
Pd2 0.344 0.520 0.408
```

=====

No. 6
Calculated X-ray diffraction stick pattern of Tm2AlInPd4 for Cu Kα X-rays, from DFT lattice parameters and positions (PBE).
Kinematic intensities with the Lorentz-polarization factor, no thermal factor.

Most intense lines, 2θ from 10° to 90°, by angle:
2θ = 23.12°, intensity 24, (1 0 0); 2θ = 25.19°, intensity 13, (1 0 1); 2θ = 30.62°, intensity 18, (0 1 2); 2θ = 38.13°, intensity 100, (0 1 3); 2θ = 40.61°, intensity 78, (1 1 0); 2θ = 56.93°, intensity 31, (2 0 3); 2θ = 67.21°, intensity 11, (1 0 6); 2θ = 72.25°, intensity 30, (1 2 3); 2θ = 73.90°, intensity 13, (3 0 0); 2θ = 76.90°, intensity 10, (1 1 6)

Atomic structure:
```
data_Tm2AlInPd4
_space_group_name_H-M_alt 'P -3 m 1'
_space_group_IT_number 164
_space_group_name_Hall '-P 3 2"'
_cell_length_a 4.4428
_cell_length_b 4.4428
_cell_length_c 8.9650
_cell_angle_alpha 90.00
_cell_angle_beta 90.00
_cell_angle_gamma 120.00
loop_
_atom_site_label
_atom_site_fract_x
_atom_site_fract_y
_atom_site_fract_z
Tm1 0.3333 0.6667 0.2451
Al1 0.0000 0.0000 0.0000
In1 0.0000 0.0000 0.5000
Pd1 0.3333 0.6667 0.5938
Pd2 0.3333 0.6667 0.9212
```